(1)
Simulated powder diffraction line list of Ba2Ga9Pt3 for Cu Kα (weighted mean of Kα1 and Kα2), from a GGA-PBE-relaxed structure.
No peak broadening, texture or thermal motion is included.

Cell and atoms:
Lattice parameters (Å, degrees): 13.820 7.913 11.008 90.00 114.93 90.00
Space group C2/c (No. 15)
One atom of each set of equivalent atoms:
Ba1 0.168 0.083 0.250 [8 per cell]
Ga1 0.000 0.381 0.250 [4 per cell]
Ga2 0.060 0.087 0.926 [8 per cell]
Ga3 0.100 0.320 0.748 [8 per cell]
Ga4 0.100 0.416 0.052 [8 per cell]
Ga5 0.221 0.419 0.425 [8 per cell]
Pt1 0.082 0.251 0.500 [8 per cell]
Pt2 0.250 0.250 0.000 [4 per cell]

Principal peaks in the range 10° ≤ 2θ ≤ 80°, by angle:
- 17.77 deg, I = 35, (0 0 2)
- 28.68 deg, I = 66, (3 1 1)
- 28.79 deg, I = 34, (0 2 2)
- 35.10 deg, I = 38, (3 1 -4)
- 35.22 deg, I = 71, (0 2 3)
- 35.99 deg, I = 43, (0 0 4)
- 39.11 deg, I = 51, (6 0 -2)
- 39.36 deg, I = 100, (3 3 -1)
- 42.83 deg, I = 32, (3 1 3)
- 43.49 deg, I = 42, (3 3 -3)

(2)
Simulated powder diffraction line list of Ba3Ga2Pt2 for Cu Kα (weighted mean of Kα1 and Kα2), from a GGA-PBE-relaxed structure.
No peak broadening, texture or thermal motion is included.

Cell and atoms:
Lattice parameters (Å, degrees): 4.415 4.929 19.577 90.00 90.00 90.00
Space group Immm (No. 71)
One atom of each set of equivalent atoms:
Ba1 0.000 0.000 0.000 [2 per cell]
Ba2 0.000 0.500 0.313 [4 per cell]
Ga1 0.000 0.000 0.431 [4 per cell]
Pt1 0.000 0.500 0.135 [4 per cell]

Principal peaks in the range 10° ≤ 2θ ≤ 80°, by angle:
- 27.11 deg, I = 36, (1 1 0)
- 28.63 deg, I = 100, (1 1 2)
- 29.13 deg, I = 89, (0 1 5)
- 32.81 deg, I = 76, (1 1 4)
- 36.46 deg, I = 53, (0 2 0)
- 38.09 deg, I = 59, (1 0 7)
- 40.88 deg, I = 38, (2 0 0)
- 50.97 deg, I = 37, (2 1 5)
- 53.75 deg, I = 44, (1 2 7)
- 55.92 deg, I = 31, (2 2 0)

(3)
Simulated powder diffraction line list of Ba3Ga4Pt2 for Cu Kα (weighted mean of Kα1 and Kα2), from a GGA-PBE-relaxed structure.
No peak broadening, texture or thermal motion is included.

Cell and atoms:
Lattice parameters (Å, degrees): 12.270 4.418 9.519 90.00 108.61 90.00
Space group C2/m (No. 12)
One atom of each set of equivalent atoms:
Ba1 0.000 0.000 0.000 [2 per cell]
Ba2 0.101 0.500 0.684 [4 per cell]
Ga1 0.156 0.000 0.427 [4 per cell]
Ga2 0.231 0.500 0.064 [4 per cell]
Pt1 0.179 0.500 0.306 [4 per cell]

Principal peaks in the range 10° ≤ 2θ ≤ 80°, by angle:
- 15.25 deg, I = 74, (2 0 0)
- 24.71 deg, I = 65, (1 1 1)
- 29.71 deg, I = 82, (0 0 3)
- 29.88 deg, I = 84, (3 1 -1)
- 30.69 deg, I = 71, (3 1 0)
- 30.82 deg, I = 77, (4 0 -2)
- 30.97 deg, I = 78, (1 1 2)
- 35.33 deg, I = 100, (4 0 1)
- 37.47 deg, I = 61, (3 1 -3)
- 40.85 deg, I = 73, (0 2 0)

(4)
Simulated powder diffraction line list of BaPuGa2Pt2 for Cu Kα (weighted mean of Kα1 and Kα2), from a GGA-PBE-relaxed structure.
No peak broadening, texture or thermal motion is included.

Cell and atoms:
Lattice parameters (Å, degrees): 4.5126 4.5126 8.1084 90.00 90.00 120.00
Space group P-3m1 (No. 164)
One atom of each set of equivalent atoms:
Ba1 0.0000 0.0000 0.0000 [1 per cell]
Pu1 0.0000 0.0000 0.5000 [1 per cell]
Ga1 0.3333 0.6667 0.2953 [2 per cell]
Pt1 0.3333 0.6667 0.6919 [2 per cell]

Principal peaks in the range 10° ≤ 2θ ≤ 80°, by angle:
- 10.91 deg, I = 43, (0 0 1)
- 25.30 deg, I = 18, (0 1 1)
- 31.80 deg, I = 100, (0 1 2)
- 39.96 deg, I = 62, (1 1 0)
- 40.58 deg, I = 17, (1 0 3)
- 41.54 deg, I = 11, (1 1 1)
- 50.74 deg, I = 11, (1 0 4)
- 51.95 deg, I = 26, (2 0 2)
- 67.49 deg, I = 24, (1 2 2)
- 72.57 deg, I = 11, (3 0 0)

(5)
Simulated powder diffraction line list of BaGa4Pt2Rh for Cu Kα (weighted mean of Kα1 and Kα2), from a GGA-PBE-relaxed structure.
No peak broadening, texture or thermal motion is included.

Cell and atoms:
Lattice parameters (Å, degrees): 4.3088 4.3088 29.3110 90.00 90.00 120.00
Space group R-3m (No. 166, hexagonal axes)
One atom of each set of equivalent atoms:
Ba1 0.0000 0.0000 0.0000 [3 per cell]
Ga1 0.0000 0.0000 0.1347 [6 per cell]
Ga2 0.0000 0.0000 0.4095 [6 per cell]
Pt1 0.0000 0.0000 0.2280 [6 per cell]
Rh1 0.0000 0.0000 0.5000 [3 per cell]

Principal peaks in the range 10° ≤ 2θ ≤ 80°, by angle:
- 26.81 deg, I = 42, (1 0 4)
- 28.35 deg, I = 40, (0 1 5)
- 34.30 deg, I = 55, (0 1 8)
- 41.65 deg, I = 52, (0 1 11)
- 41.93 deg, I = 100, (1 1 0)
- 50.81 deg, I = 19, (1 1 9)
- 60.58 deg, I = 17, (2 0 11)
- 75.82 deg, I = 17, (1 0 22)
- 76.41 deg, I = 17, (1 2 11)
- 76.60 deg, I = 17, (3 0 0)

(6)
Simulated powder diffraction line list of Ba2PuGaTe5 for Cu Kα (weighted mean of Kα1 and Kα2), from a GGA-PBE-relaxed structure.
No peak broadening, texture or thermal motion is included.

Cell and atoms:
Lattice parameters (Å, degrees): 4.569 20.634 14.132 90.00 90.00 90.00
Space group Cmc2_1 (No. 36)
One atom of each set of equivalent atoms:
Ba1 0.000 0.120 0.000 [4 per cell]
Ba2 0.000 0.124 0.638 [4 per cell]
Pu1 0.000 0.203 0.336 [4 per cell]
Ga1 0.000 0.438 0.748 [4 per cell]
Te1 0.000 0.047 0.356 [4 per cell]
Te2 0.000 0.296 0.984 [4 per cell]
Te3 0.000 0.313 0.682 [4 per cell]
Te4 0.000 0.352 0.320 [4 per cell]
Te5 0.000 0.499 0.586 [4 per cell]

Principal peaks in the range 10° ≤ 2θ ≤ 80°, by angle:
- 15.20 deg, I = 11, (0 2 2)
- 26.67 deg, I = 55, (0 6 1)
- 27.54 deg, I = 100, (1 1 3)
- 31.85 deg, I = 43, (1 5 2)
- 38.51 deg, I = 11, (1 7 2)
- 39.45 deg, I = 24, (2 0 0)
- 41.35 deg, I = 9, (0 6 5)
- 44.68 deg, I = 23, (1 7 4)
- 48.26 deg, I = 20, (2 6 1)
- 64.46 deg, I = 9, (3 1 3)

(7)
Simulated powder diffraction line list of RbBa2ZrGa for Cu Kα (weighted mean of Kα1 and Kα2), from a GGA-PBE-relaxed structure.
No peak broadening, texture or thermal motion is included.

Cell and atoms:
Lattice parameters (Å, degrees): 6.658 6.658 5.457 90.00 90.00 90.00
Space group P4/mmm (No. 123)
One atom of each set of equivalent atoms:
Rb1 0.000 0.000 0.000 [1 per cell]
Ba1 0.000 0.500 0.500 [2 per cell]
Zr1 0.500 0.500 0.000 [1 per cell]
Ga1 0.500 0.500 0.500 [1 per cell]

Principal peaks in the range 10° ≤ 2θ ≤ 80°, by angle:
- 24.98 deg, I = 100, (1 1 1)
- 26.78 deg, I = 82, (2 0 0)
- 32.82 deg, I = 24, (0 0 2)
- 38.23 deg, I = 31, (2 2 0)
- 42.85 deg, I = 45, (2 0 2)
- 46.21 deg, I = 37, (3 1 1)
- 51.25 deg, I = 27, (2 2 2)
- 62.37 deg, I = 15, (4 2 0)
- 65.71 deg, I = 13, (4 0 2)
- 72.29 deg, I = 19, (4 2 2)

(8)
Simulated powder diffraction line list of BaGaRe2 for Cu Kα (weighted mean of Kα1 and Kα2), from a GGA-PBE-relaxed structure.
No peak broadening, texture or thermal motion is included.

Cell and atoms:
Lattice parameters (Å, degrees): 4.812 4.812 18.362 90.00 90.00 90.00
Space group I-42d (No. 122)
One atom of each set of equivalent atoms:
Ba1 0.000 0.000 0.000 [4 per cell]
Ga1 0.000 0.000 0.500 [4 per cell]
Re1 0.040 0.750 0.625 [8 per cell]

Principal peaks in the range 10° ≤ 2θ ≤ 80°, by angle:
- 19.07 deg, I = 64, (1 0 1)
- 23.52 deg, I = 100, (1 0 3)
- 27.97 deg, I = 70, (1 1 2)
- 30.62 deg, I = 52, (1 0 5)
- 38.69 deg, I = 69, (2 0 2)
- 39.25 deg, I = 45, (0 0 8)
- 39.61 deg, I = 27, (1 1 6)
- 42.29 deg, I = 50, (2 1 1)
- 48.11 deg, I = 37, (2 0 6)
- 57.80 deg, I = 50, (2 2 4)

(9)
Simulated powder diffraction line list of BaTiGaRe2 for Cu Kα (weighted mean of Kα1 and Kα2), from a GGA-PBE-relaxed structure.
No peak broadening, texture or thermal motion is included.

Cell and atoms:
Lattice parameters (Å, degrees): 4.655 4.655 5.916 90.00 90.00 90.00
Space group P4/mmm (No. 123)
One atom of each set of equivalent atoms:
Ba1 0.000 0.000 0.000 [1 per cell]
Ti1 0.000 0.000 0.500 [1 per cell]
Ga1 0.500 0.500 0.000 [1 per cell]
Re1 0.000 0.500 0.500 [2 per cell]

Principal peaks in the range 10° ≤ 2θ ≤ 80°, by angle:
- 14.97 deg, I = 23, (0 0 1)
- 30.21 deg, I = 38, (0 0 2)
- 31.09 deg, I = 100, (1 1 1)
- 38.69 deg, I = 39, (2 0 0)
- 49.85 deg, I = 37, (2 0 2)
- 54.22 deg, I = 21, (1 1 3)
- 55.87 deg, I = 13, (2 2 0)
- 64.83 deg, I = 17, (2 2 2)
- 65.33 deg, I = 24, (3 1 1)
- 76.28 deg, I = 11, (2 0 4)

(10)
Simulated powder diffraction line list of BaGa12Rh6 for Cu Kα (weighted mean of Kα1 and Kα2), from a GGA-PBE-relaxed structure.
No peak broadening, texture or thermal motion is included.

Cell and atoms:
Lattice parameters (Å, degrees): 11.4957 11.4957 8.7418 90.00 90.00 120.00
Space group R-3m (No. 166, hexagonal axes)
One atom of each set of equivalent atoms:
Ba1 0.0000 0.0000 0.0000 [3 per cell]
Ga1 0.0000 0.3829 0.5000 [18 per cell]
Ga2 0.0943 0.1886 0.3204 [18 per cell]
Rh1 0.0576 0.5288 0.2568 [18 per cell]

Principal peaks in the range 10° ≤ 2θ ≤ 80°, by angle:
- 25.78 deg, I = 83, (2 1 1)
- 31.37 deg, I = 38, (1 2 2)
- 34.05 deg, I = 100, (1 3 1)
- 34.51 deg, I = 58, (1 1 3)
- 40.84 deg, I = 95, (3 2 1)
- 41.23 deg, I = 89, (0 3 3)
- 44.77 deg, I = 35, (2 3 2)
- 45.32 deg, I = 86, (0 2 4)
- 47.45 deg, I = 48, (3 3 0)
- 50.36 deg, I = 68, (5 0 2)

(11)
Simulated powder diffraction line list of Ba2Ga4Rh3 for Cu Kα (weighted mean of Kα1 and Kα2), from a GGA-PBE-relaxed structure.
No peak broadening, texture or thermal motion is included.

Cell and atoms:
Lattice parameters (Å, degrees): 5.922 10.262 13.223 90.00 90.00 90.00
Space group Fmmm (No. 69)
One atom of each set of equivalent atoms:
Ba1 0.000 0.000 0.134 [8 per cell]
Ga1 0.000 0.175 0.357 [16 per cell]
Rh1 0.000 0.000 0.500 [4 per cell]
Rh2 0.250 0.250 0.000 [8 per cell]

Principal peaks in the range 10° ≤ 2θ ≤ 80°, by angle:
- 13.39 deg, I = 45, (0 0 2)
- 26.67 deg, I = 27, (1 1 3)
- 30.18 deg, I = 25, (2 0 0)
- 30.94 deg, I = 29, (1 3 1)
- 34.98 deg, I = 48, (0 4 0)
- 36.55 deg, I = 100, (1 3 3)
- 37.61 deg, I = 42, (2 2 2)
- 40.93 deg, I = 61, (2 0 4)
- 57.86 deg, I = 40, (3 3 3)
- 62.74 deg, I = 33, (4 0 0)

(12)
Simulated powder diffraction line list of BaGa3Rh3 for Cu Kα (weighted mean of Kα1 and Kα2), from a GGA-PBE-relaxed structure.
No peak broadening, texture or thermal motion is included.

Cell and atoms:
Lattice parameters (Å, degrees): 6.836 6.836 6.836 90.00 90.00 90.00
Space group Pm-3n (No. 223)
One atom of each set of equivalent atoms:
Ba1 0.000 0.000 0.000 [2 per cell]
Ga1 0.000 0.250 0.500 [6 per cell]
Rh1 0.000 0.500 0.250 [6 per cell]

Principal peaks in the range 10° ≤ 2θ ≤ 80°, by angle:
- 26.07 deg, I = 43, (2 0 0)
- 29.21 deg, I = 6, (2 1 0)
- 32.07 deg, I = 100, (2 1 1)
- 45.99 deg, I = 21, (2 2 2)
- 49.92 deg, I = 57, (3 2 1)
- 53.63 deg, I = 26, (4 0 0)
- 60.58 deg, I = 16, (4 2 0)
- 63.87 deg, I = 13, (3 3 2)
- 76.29 deg, I = 16, (5 2 1)
- 79.28 deg, I = 16, (4 4 0)

(13)
Simulated powder diffraction line list of Ba2GaS4 for Cu Kα (weighted mean of Kα1 and Kα2), from a GGA-PBE-relaxed structure.
No peak broadening, texture or thermal motion is included.

Cell and atoms:
Lattice parameters (Å, degrees): 7.372 6.024 9.235 90.00 107.01 90.00
Space group P2_1/m (No. 11)
One atom of each set of equivalent atoms:
Ba1 0.221 0.250 0.439 [2 per cell]
Ba2 0.266 0.250 0.943 [2 per cell]
Ga1 0.251 0.750 0.193 [2 per cell]
S1 0.073 0.750 0.359 [2 per cell]
S2 0.114 0.750 0.942 [2 per cell]
S3 0.495 0.013 0.265 [4 per cell]

Principal peaks in the range 10° ≤ 2θ ≤ 80°, by angle:
- 19.38 deg, I = 64, (1 1 0)
- 25.00 deg, I = 46, (0 1 2)
- 25.24 deg, I = 100, (2 0 0)
- 26.77 deg, I = 41, (1 0 2)
- 27.37 deg, I = 45, (2 0 -2)
- 29.66 deg, I = 60, (0 2 0)
- 30.68 deg, I = 72, (1 1 2)
- 31.21 deg, I = 55, (2 1 -2)
- 39.02 deg, I = 46, (1 0 -4)
- 39.35 deg, I = 69, (2 2 0)